No. 1
Theoretical powder diffraction line list of BaGe2S5 for Cu Kα (λ = 1.5418 Å), from the PBE geometry in the Materials Project.
Lines closer than 0.1° are merged.

Most intense lines, 2θ from 5° to 70°, in order of rising 2θ:
2θ/deg	Rel. int.	h k l
19.3	70	3 1 1
23.4	61	4 0 0
25.5	100	3 3 1
28.7	26	4 2 2
33.3	56	4 4 0
35.4	48	4 4 2
39.3	31	6 2 2
50.9	46	6 6 0
52.0	28	7 5 1
63.5	34	10 2 2

abc: 15.226 15.226 15.226
angles: 90.00 90.00 90.00
Space group Fd-3m (No. 227, origin choice 2)
Unique sites:
Ba: 0.000 0.000 0.000 (multiplicity 16)
Ge: 0.042 0.042 0.708 (multiplicity 32)
S: 0.041 0.041 0.209 (multiplicity 32)
S: 0.048 0.375 0.875 (multiplicity 48)



No. 2
Theoretical powder diffraction line list of Na2NpH2C3O9 for Cu Kα (λ = 1.5418 Å), from the PBE geometry in the Materials Project.
Lines closer than 0.1° are merged.

Most intense lines, 2θ from 5° to 70°, in order of rising 2θ:
2θ/deg	Rel. int.	h k l
11.3	43	0 1 0
14.2	82	1 0 0
14.6	82	0 1 1
15.3	100	1 1 1
16.7	34	0 1 -1
21.6	50	0 0 2
24.5	27	-1 1 1
25.7	99	2 1 1
26.5	46	0 2 -1
33.2	29	0 1 3

abc: 6.952 8.446 8.764
angles: 76.55 71.05 68.76
Space group P-1 (No. 2)
Unique sites:
Na: 0.010 0.118 0.290 (multiplicity 2)
Na: 0.136 0.463 0.679 (multiplicity 2)
Np: 0.467 0.337 0.226 (multiplicity 2)
H: 0.181 0.292 0.001 (multiplicity 2)
H: 0.195 0.148 0.909 (multiplicity 2)
C: 0.201 0.723 0.343 (multiplicity 2)
C: 0.277 0.770 0.156 (multiplicity 2)
C: 0.416 0.055 0.566 (multiplicity 2)
O: 0.118 0.840 0.431 (multiplicity 2)
O: 0.141 0.272 0.911 (multiplicity 2)
O: 0.223 0.312 0.200 (multiplicity 2)
O: 0.227 0.562 0.394 (multiplicity 2)
O: 0.230 0.922 0.095 (multiplicity 2)
O: 0.295 0.638 0.745 (multiplicity 2)
O: 0.349 0.215 0.523 (multiplicity 2)
O: 0.357 0.975 0.706 (multiplicity 2)
O: 0.386 0.639 0.077 (multiplicity 2)



No. 3
Theoretical powder diffraction line list of Nd3Au4 for Cu Kα (λ = 1.5418 Å), from the PBE geometry in the Materials Project.
Lines closer than 0.1° are merged.

Most intense lines, 2θ from 5° to 70°, in order of rising 2θ:
2θ/deg	Rel. int.	h k l
30.3	22	4 -3 1
32.4	11	2 0 2
34.0	100	1 4 0
35.0	88	3 -2 2
35.5	16	3 2 1
39.6	19	3 1 2
49.6	21	4 2 2
61.5	16	0 7 2
61.8	12	9 -4 1
63.3	11	0 8 1

abc: 13.9551 13.9551 6.2055
angles: 90.00 90.00 120.00
Space group R-3 (No. 148, hexagonal axes)
Unique sites:
Nd: 0.0428 0.2133 0.2285 (multiplicity 18)
Au: 0.0000 0.0000 0.0000 (multiplicity 3)
Au: 0.0000 0.0000 0.5000 (multiplicity 3)
Au: 0.0561 0.2734 0.7112 (multiplicity 18)



Copy entry 1 word for word.
Theoretical powder diffraction line list of BaGe2S5 for Cu Kα (λ = 1.5418 Å), from the PBE geometry in the Materials Project.
Lines closer than 0.1° are merged.

Most intense lines, 2θ from 5° to 70°, in order of rising 2θ:
2θ/deg	Rel. int.	h k l
19.3	70	3 1 1
23.4	61	4 0 0
25.5	100	3 3 1
28.7	26	4 2 2
33.3	56	4 4 0
35.4	48	4 4 2
39.3	31	6 2 2
50.9	46	6 6 0
52.0	28	7 5 1
63.5	34	10 2 2

abc: 15.226 15.226 15.226
angles: 90.00 90.00 90.00
Space group Fd-3m (No. 227, origin choice 2)
Unique sites:
Ba: 0.000 0.000 0.000 (multiplicity 16)
Ge: 0.042 0.042 0.708 (multiplicity 32)
S: 0.041 0.041 0.209 (multiplicity 32)
S: 0.048 0.375 0.875 (multiplicity 48)